For SmTl2Pb5, a DFT-relaxed cell (GGA-PBE, Alexandria) gives the theoretical X-ray powder pattern in this record (copper Kα).
Peak positions follow from Bragg's law for the DFT cell and can differ from measured ones.

Largest 8 diffraction maxima, sorted by position, 2θ = 15–90°:
(hkl)  2θ (°)  intensity
0 4 0  31.42  55
2 2 0  32.56  100
0 4 2  45.03  21
2 6 0  56.66  43
4 0 0  58.80  19
4 4 0  68.19  12
0 8 2  74.52  10
2 6 2  75.14  9

Cell and atoms:
Cell: 7.531 11.390 6.827 Å, 90.00 123.47 90.00°
Atoms (fractional coordinates):
Sm 0.000 0.000 0.000
Sm 0.500 0.500 0.000
Tl 0.249 0.250 0.499
Tl 0.249 0.750 0.499
Tl 0.749 0.250 0.499
Tl 0.749 0.750 0.499
Pb 0.000 0.500 0.500
Pb 0.249 0.250 0.999
Pb 0.249 0.750 0.999
Pb 0.499 0.000 0.000
Pb 0.499 0.500 0.499
Pb 0.500 0.000 0.500
Pb 0.749 0.250 0.999
Pb 0.749 0.750 0.999
Pb 0.999 0.000 0.499
Pb 0.999 0.500 0.000